Structure and calculated X-ray diffraction stick pattern of Rb4Tc6S13 (a cell relaxed with GGA-PBE; CuKα).
No peak broadening, texture or thermal motion is included.

Principal peaks in the range 2θ from 5° to 70°, in order of rising 2θ:
10.53 deg, rel. 93.7
11.51 deg, rel. 100.0
12.70 deg, rel. 43.5
13.06 deg, rel. 70.8
18.31 deg, rel. 20.8
23.18 deg, rel. 17.6
35.80 deg, rel. 16.1
37.10 deg, rel. 18.3
47.18 deg, rel. 28.4
48.08 deg, rel. 18.0

```
data_Rb4Tc6S13
_chemical_formula_sum 'Rb8 Tc12 S26'
_symmetry_space_group_name_H-M 'P 1'
_symmetry_Int_Tables_number 1
_symmetry_space_group_name_Hall 'P 1'
_cell_length_a 9.733
_cell_length_b 9.733
_cell_length_c 14.126
_cell_angle_alpha 94.72
_cell_angle_beta 94.72
_cell_angle_gamma 119.40
loop_
_atom_site_label
_atom_site_type_symbol
_atom_site_fract_x
_atom_site_fract_y
_atom_site_fract_z
Rb1 Rb 0.124 0.404 0.619
Rb2 Rb 0.200 0.261 0.340
Rb3 Rb 0.261 0.200 0.840
Rb4 Rb 0.404 0.124 0.119
Rb5 Rb 0.596 0.876 0.881
Rb6 Rb 0.739 0.800 0.160
Rb7 Rb 0.800 0.739 0.660
Rb8 Rb 0.876 0.596 0.381
Tc1 Tc 0.074 0.655 0.108
Tc2 Tc 0.099 0.656 0.924
Tc3 Tc 0.182 0.484 0.020
Tc4 Tc 0.344 0.901 0.576
Tc5 Tc 0.345 0.926 0.392
Tc6 Tc 0.484 0.182 0.520
Tc7 Tc 0.516 0.818 0.480
Tc8 Tc 0.655 0.074 0.608
Tc9 Tc 0.656 0.099 0.424
Tc10 Tc 0.818 0.516 0.980
Tc11 Tc 0.901 0.344 0.076
Tc12 Tc 0.926 0.345 0.892
S1 S 0.005 0.199 0.991
S2 S 0.142 0.760 0.678
S3 S 0.142 0.858 0.250
S4 S 0.146 0.484 0.186
S5 S 0.193 0.493 0.852
S6 S 0.199 0.005 0.491
S7 S 0.230 0.671 0.453
S8 S 0.240 0.858 0.822
S9 S 0.329 0.770 0.047
S10 S 0.422 0.453 0.052
S11 S 0.453 0.422 0.552
S12 S 0.484 0.146 0.686
S13 S 0.493 0.193 0.352
S14 S 0.507 0.807 0.648
S15 S 0.516 0.854 0.314
S16 S 0.547 0.578 0.448
S17 S 0.578 0.547 0.948
S18 S 0.671 0.230 0.953
S19 S 0.760 0.142 0.178
S20 S 0.770 0.329 0.547
S21 S 0.801 0.995 0.509
S22 S 0.807 0.507 0.148
S23 S 0.854 0.516 0.814
S24 S 0.858 0.142 0.750
S25 S 0.858 0.240 0.322
S26 S 0.995 0.801 0.009
```